1.
Structure and simulated X-ray powder pattern of Cr4OF11 (a structure optimized by DFT (GGA+U); Cu Kα).
Kinematic intensities with the Lorentz-polarization factor, no thermal factor.

Most intense lines, 15 to 90 degrees two-theta, low angle first:
two_theta  I_rel
24.1  100
24.4  49
33.6  21
40.7  24
41.1  12
49.3  18
54.4  14
54.5  14
55.0  13
63.2  12

Structural model:
Cell lengths 5.075, 5.341, 16.941 Å; angles 88.96, 82.00, 62.08 degrees
Fractional positions:
Cr1 0.000 0.000 0.000
Cr2 0.004 0.506 0.503
Cr3 0.240 0.862 0.622
Cr4 0.251 0.378 0.125
Cr5 0.498 0.246 0.749
Cr6 0.506 0.760 0.254
Cr7 0.744 0.117 0.373
Cr8 0.749 0.623 0.875
O1 0.064 0.655 0.592
O2 0.564 0.908 0.343
F1 0.006 0.686 0.062
F2 0.007 0.186 0.562
F3 0.063 0.158 0.094
F4 0.064 0.465 0.782
F5 0.068 0.966 0.282
F6 0.431 0.085 0.657
F7 0.434 0.283 0.466
F8 0.435 0.595 0.160
F9 0.435 0.783 0.967
F10 0.490 0.562 0.687
F11 0.497 0.062 0.188
F12 0.505 0.935 0.812
F13 0.507 0.438 0.312
F14 0.562 0.405 0.843
F15 0.564 0.216 0.033
F16 0.566 0.716 0.532
F17 0.930 0.339 0.410
F18 0.934 0.033 0.716
F19 0.934 0.533 0.218
F20 0.937 0.843 0.906
F21 0.994 0.313 0.938
F22 0.994 0.812 0.437


2.
Structure and simulated X-ray powder pattern of CrPO4F (a structure optimized by DFT (GGA+U); Cu Kα).
Kinematic intensities with the Lorentz-polarization factor, no thermal factor.

Most intense lines, 15 to 90 degrees two-theta, low angle first:
two_theta  I_rel
18.5  76
18.7  66
23.1  25
26.7  21
26.9  59
27.3  100
29.4  67
35.0  17
37.9  21
56.4  22

Structural model:
Cell lengths 5.152, 5.164, 7.295 Å; angles 107.21, 109.22, 96.41 degrees
Fractional positions:
Cr1 0.000 0.000 0.000
Cr2 0.000 0.000 0.500
P1 0.328 0.646 0.264
P2 0.672 0.354 0.736
O1 0.132 0.684 0.388
O2 0.258 0.792 0.102
O3 0.295 0.335 0.150
O4 0.365 0.235 0.581
O5 0.635 0.765 0.419
O6 0.705 0.665 0.850
O7 0.742 0.208 0.898
O8 0.868 0.316 0.612
F1 0.117 0.942 0.765
F2 0.883 0.058 0.235


3.
Structure and simulated X-ray powder pattern of CrPO4F (a structure optimized by DFT (GGA+U); Cu Kα).
Kinematic intensities with the Lorentz-polarization factor, no thermal factor.

Most intense lines, 15 to 90 degrees two-theta, low angle first:
two_theta  I_rel
15.8  34
16.4  92
16.5  100
26.9  11
29.1  37
32.9  12
33.1  30
33.4  26
42.2  10
54.0  13

Structural model:
Cell lengths 12.628, 6.241, 10.551 Å; angles 90.00, 90.00, 90.00 degrees
Fractional positions:
Cr1 0.110 0.004 0.000
Cr2 0.248 0.252 0.252
Cr3 0.252 0.752 0.752
Cr4 0.390 0.504 0.500
Cr5 0.610 0.496 0.000
Cr6 0.748 0.248 0.252
Cr7 0.752 0.748 0.752
Cr8 0.890 0.996 0.500
P1 0.002 0.834 0.750
P2 0.185 0.503 0.001
P3 0.315 0.003 0.501
P4 0.498 0.334 0.250
P5 0.502 0.666 0.750
P6 0.685 0.997 0.001
P7 0.815 0.497 0.501
P8 0.998 0.166 0.250
O1 0.008 0.023 0.130
O2 0.011 0.988 0.865
O3 0.097 0.308 0.270
O4 0.101 0.693 0.735
O5 0.112 0.696 0.025
O6 0.113 0.309 0.973
O7 0.241 0.043 0.386
O8 0.245 0.963 0.619
O9 0.255 0.463 0.119
O10 0.259 0.543 0.886
O11 0.387 0.809 0.473
O12 0.388 0.196 0.525
O13 0.399 0.193 0.235
O14 0.403 0.808 0.770
O15 0.489 0.488 0.365
O16 0.492 0.523 0.630
O17 0.508 0.477 0.130
O18 0.511 0.512 0.865
O19 0.597 0.192 0.270
O20 0.601 0.807 0.735
O21 0.612 0.804 0.025
O22 0.613 0.191 0.973
O23 0.741 0.457 0.386
O24 0.745 0.537 0.619
O25 0.755 0.037 0.119
O26 0.759 0.957 0.886
O27 0.887 0.691 0.473
O28 0.888 0.304 0.525
O29 0.899 0.307 0.235
O30 0.903 0.692 0.770
O31 0.989 0.012 0.365
O32 0.992 0.977 0.630
F1 0.222 0.030 0.127
F2 0.226 0.974 0.878
F3 0.274 0.474 0.378
F4 0.278 0.530 0.627
F5 0.722 0.470 0.127
F6 0.726 0.526 0.878
F7 0.774 0.026 0.378
F8 0.778 0.970 0.627


4.
Structure and simulated X-ray powder pattern of ZnCr6Si2Pb10O32F2 (a structure optimized by DFT (GGA+U); Cu Kα).
Kinematic intensities with the Lorentz-polarization factor, no thermal factor.

Most intense lines, 15 to 90 degrees two-theta, low angle first:
two_theta  I_rel
17.8  55
20.0  34
22.4  26
25.7  26
26.5  100
27.8  52
28.3  82
29.8  40
30.6  33
31.6  31

Structural model:
Cell lengths 9.654, 10.114, 10.150 Å; angles 65.72, 72.36, 69.37 degrees
Fractional positions:
Zn1 0.000 0.000 0.000
Cr1 0.241 0.846 0.480
Cr2 0.270 0.162 0.012
Cr3 0.466 0.357 0.217
Cr4 0.534 0.643 0.783
Cr5 0.730 0.838 0.988
Cr6 0.759 0.154 0.520
Si1 0.025 0.662 0.291
Si2 0.975 0.338 0.709
Pb1 0.129 0.260 0.351
Pb2 0.152 0.659 0.932
Pb3 0.265 0.470 0.580
Pb4 0.322 0.031 0.710
Pb5 0.354 0.748 0.173
Pb6 0.646 0.252 0.827
Pb7 0.678 0.969 0.290
Pb8 0.735 0.530 0.420
Pb9 0.848 0.341 0.068
Pb10 0.871 0.740 0.649
O1 0.013 0.488 0.705
O2 0.070 0.770 0.117
O3 0.119 0.279 0.081
O4 0.134 0.258 0.617
O5 0.134 0.942 0.358
O6 0.150 0.729 0.630
O7 0.174 0.616 0.362
O8 0.218 0.026 0.993
O9 0.285 0.968 0.522
O10 0.316 0.439 0.137
O11 0.351 0.257 0.845
O12 0.388 0.736 0.883
O13 0.393 0.085 0.120
O14 0.395 0.735 0.409
O15 0.417 0.234 0.380
O16 0.478 0.515 0.764
O17 0.522 0.485 0.236
O18 0.583 0.766 0.620
O19 0.605 0.265 0.591
O20 0.607 0.915 0.880
O21 0.612 0.264 0.117
O22 0.649 0.743 0.155
O23 0.684 0.561 0.863
O24 0.715 0.032 0.478
O25 0.782 0.974 0.007
O26 0.826 0.384 0.638
O27 0.850 0.271 0.370
O28 0.866 0.058 0.642
O29 0.866 0.742 0.383
O30 0.881 0.721 0.919
O31 0.930 0.230 0.883
O32 0.987 0.512 0.295
F1 0.109 0.931 0.822
F2 0.891 0.069 0.178


5.
Structure and simulated X-ray powder pattern of RbCrF6 (a structure optimized by DFT (GGA+U); Cu Kα).
Kinematic intensities with the Lorentz-polarization factor, no thermal factor.

Most intense lines, 15 to 90 degrees two-theta, low angle first:
two_theta  I_rel
23.0  100
26.6  70
35.5  12
37.4  28
42.7  68
47.0  11
54.9  17
60.3  33
63.7  13
79.7  10

Structural model:
Cell lengths 5.155, 5.155, 5.155 Å; angles 97.23, 97.23, 97.23 degrees
Fractional positions:
Rb1 0.000 0.000 0.000
Cr1 0.500 0.500 0.500
F1 0.226 0.288 0.582
F2 0.288 0.582 0.226
F3 0.418 0.774 0.712
F4 0.582 0.226 0.288
F5 0.712 0.418 0.774
F6 0.774 0.712 0.418


6.
Structure and simulated X-ray powder pattern of RbCrF5 (a structure optimized by DFT (GGA+U); Cu Kα).
Kinematic intensities with the Lorentz-polarization factor, no thermal factor.

Most intense lines, 15 to 90 degrees two-theta, low angle first:
two_theta  I_rel
21.1  25
23.1  100
24.2  66
25.8  95
27.9  33
29.0  88
31.6  36
36.1  46
37.9  51
40.2  67

Structural model:
Cell lengths 5.659, 7.853, 10.502 Å; angles 90.00, 90.00, 90.00 degrees
Fractional positions:
Rb1 0.000 0.113 0.000
Rb2 0.000 0.887 0.500
Rb3 0.500 0.374 0.645
Rb4 0.500 0.626 0.145
Cr1 0.000 0.424 0.357
Cr2 0.000 0.576 0.857
Cr3 0.500 0.118 0.261
Cr4 0.500 0.882 0.761
F1 0.000 0.251 0.470
F2 0.000 0.440 0.717
F3 0.000 0.560 0.217
F4 0.000 0.749 0.970
F5 0.228 0.453 0.936
F6 0.228 0.547 0.436
F7 0.249 0.297 0.261
F8 0.249 0.703 0.761
F9 0.273 0.045 0.751
F10 0.273 0.955 0.251
F11 0.500 0.135 0.432
F12 0.500 0.161 0.091
F13 0.500 0.839 0.591
F14 0.500 0.865 0.932
F15 0.727 0.045 0.751
F16 0.727 0.955 0.251
F17 0.751 0.297 0.261
F18 0.751 0.703 0.761
F19 0.772 0.453 0.936
F20 0.772 0.547 0.436


7.
Structure and simulated X-ray powder pattern of Rb2CrF5 (a structure optimized by DFT (GGA+U); Cu Kα).
Kinematic intensities with the Lorentz-polarization factor, no thermal factor.

Most intense lines, 15 to 90 degrees two-theta, low angle first:
two_theta  I_rel
26.6  100
27.3  36
27.7  36
28.6  30
30.4  43
31.4  24
37.5  22
38.6  25
41.4  37
44.7  28

Structural model:
Cell lengths 7.712, 5.874, 12.235 Å; angles 90.00, 90.00, 90.00 degrees
Fractional positions:
Rb1 0.008 0.250 0.226
Rb2 0.148 0.750 0.416
Rb3 0.352 0.250 0.916
Rb4 0.492 0.750 0.726
Rb5 0.508 0.250 0.274
Rb6 0.648 0.750 0.084
Rb7 0.852 0.250 0.584
Rb8 0.992 0.750 0.774
Cr1 0.156 0.750 0.061
Cr2 0.344 0.250 0.561
Cr3 0.656 0.750 0.439
Cr4 0.844 0.250 0.939
F1 0.000 0.000 0.000
F2 0.000 0.500 0.000
F3 0.015 0.750 0.190
F4 0.197 0.014 0.617
F5 0.197 0.486 0.617
F6 0.217 0.250 0.422
F7 0.283 0.750 0.922
F8 0.303 0.514 0.117
F9 0.303 0.986 0.117
F10 0.485 0.250 0.690
F11 0.500 0.000 0.500
F12 0.500 0.500 0.500
F13 0.515 0.750 0.310
F14 0.697 0.014 0.883
F15 0.697 0.486 0.883
F16 0.717 0.250 0.078
F17 0.783 0.750 0.578
F18 0.803 0.514 0.383
F19 0.803 0.986 0.383
F20 0.985 0.250 0.810


8.
Structure and simulated X-ray powder pattern of ZnCrSF5 (a structure optimized by DFT (GGA+U); Cu Kα).
Kinematic intensities with the Lorentz-polarization factor, no thermal factor.

Most intense lines, 15 to 90 degrees two-theta, low angle first:
two_theta  I_rel
15.1  100
17.7  38
19.1  51
20.9  45
22.6  38
24.4  69
25.5  37
26.6  46
26.9  34
31.4  47

Structural model:
Cell lengths 6.013, 6.179, 7.341 Å; angles 78.71, 73.52, 73.79 degrees
Fractional positions:
Zn1 0.000 0.000 0.000
Zn2 0.286 0.324 0.514
Cr1 0.724 0.486 0.672
Cr2 0.747 0.488 0.160
S1 0.211 0.038 0.377
S2 0.307 0.097 0.103
F1 0.019 0.577 0.636
F2 0.080 0.399 0.013
F3 0.420 0.552 0.307
F4 0.495 0.310 0.679
F5 0.516 0.771 0.643
F6 0.616 0.494 0.946
F7 0.757 0.168 0.215
F8 0.784 0.798 0.063
F9 0.851 0.478 0.390
F10 0.959 0.168 0.748


9.
Structure and simulated X-ray powder pattern of Sr3CrF12 (a structure optimized by DFT (GGA+U); Cu Kα).
Kinematic intensities with the Lorentz-polarization factor, no thermal factor.

Most intense lines, 15 to 90 degrees two-theta, low angle first:
two_theta  I_rel
19.8  47
23.3  51
28.8  40
29.3  100
32.2  60
36.3  42
37.7  44
40.2  75
44.3  36
49.7  33

Structural model:
Cell lengths 7.554, 7.554, 6.917 Å; angles 102.99, 102.99, 118.89 degrees
Fractional positions:
Sr1 0.000 0.000 0.000
Sr2 0.000 0.500 0.500
Sr3 0.500 0.000 0.500
Cr1 0.000 0.000 0.500
F1 0.012 0.227 0.705
F2 0.028 0.652 0.859
F3 0.181 0.336 0.402
F4 0.227 0.012 0.705
F5 0.336 0.181 0.402
F6 0.348 0.972 0.141
F7 0.652 0.028 0.859
F8 0.664 0.819 0.598
F9 0.773 0.988 0.295
F10 0.819 0.664 0.598
F11 0.972 0.348 0.141
F12 0.988 0.773 0.295